# MgMn4O6
Simulated XRD peak list, a wavelength of 1.5418 Å. Input: DFT lattice parameters and positions (PBE+U).

Principal peaks in the range 10° ≤ 2θ ≤ 80°, most intense first:
| 2theta | Rel. int. |
| --- | --- |
| 33.37 | 100 |
| 11.19 | 62 |
| 34.24 | 61 |
| 34.72 | 54 |
| 56.15 | 52 |
| 32.09 | 48 |
| 38.45 | 44 |
| 28.61 | 35 |

Crystal structure
```
22
Lattice="3.2331 0.0000 0.0000 0.0000 15.8203 0.0000 -0.4431 0.0000 5.0774" Properties=species:S:1:pos:R:3 pbc="T T T"
Mg -0.1381 3.9551 1.8287
Mg 2.9282 11.8652 3.2488
Mn 0.4043 0.6931 1.4060
Mn 0.4043 7.2171 1.4060
Mn 1.4300 10.1829 0.8362
Mn 1.4300 13.5476 0.8362
Mn 1.3600 2.2727 4.2413
Mn 1.3600 5.6375 4.2413
Mn 2.3858 8.6032 3.6714
Mn 2.3858 15.1273 3.6714
O 0.2121 2.4323 0.5409
O 0.2121 5.4778 0.5409
O 0.4515 9.0016 2.2741
O 0.4515 14.7289 2.2741
O 1.3353 11.8652 2.0643
O 1.6166 0.0000 0.0000
O 1.6166 7.9102 0.0000
O 1.4548 3.9551 3.0132
O 2.3386 1.0914 2.8033
O 2.3386 6.8188 2.8033
O 2.5780 10.3425 4.5365
O 2.5780 13.3880 4.5365
```